Theoretical X-ray diffraction stick pattern
Compound: Hg12Au
Radiation: a wavelength of 1.5418 Å
Structure: the PBE geometry in Alexandria
Lines closer than 0.1° are merged.

Principal peaks in the range 2θ = 5–70°, sorted by position:
h k l	Position (°2θ)	I/Imax
-1 1 2	29.36	24
1 2 -1	30.62	52
2 1 -1	30.87	17
2 -1 1	31.91	100
1 1 2	32.90	39
0 1 -3	35.08	20
1 0 -3	35.32	17
1 0 3	38.80	17
3 1 0	43.84	16
1 -3 2	45.77	12

Structure:
Cell lengths 6.726, 6.811, 7.955 Å; angles 97.95, 97.14, 92.94 degrees
Space group P-1 (No. 2)
One atom of each set of equivalent atoms:
Hg: 0.064 0.371 0.234
Hg: 0.117 0.120 0.870
Hg: 0.123 0.806 0.471
Hg: 0.318 0.633 0.052
Hg: 0.350 0.434 0.642
Hg: 0.428 0.108 0.342
Au: 0.500 0.000 0.000